The following is a calculated powder X-ray diffraction pattern of TeOsCl2. It was derived from a structure optimized by DFT (GGA-PBE), using Cu Kα (λ = 1.5418 Å).

Principal peaks in the range 15 to 90 degrees two-theta, in order of falling intensity:
h k l	2θ (°)	d (Å)	Rel. int.
2 2 0	38.19	2.357	100.0
1 1 1	23.11	3.848	49.2
4 2 2	69.03	1.361	34.0
3 1 1	45.11	2.010	27.4
4 0 0	55.12	1.666	16.9
3 3 1	60.55	1.529	11.8
4 4 0	81.73	1.178	10.8
5 3 1	86.35	1.127	9.1
5 1 1	73.88	1.283	8.8
2 0 0	26.75	3.333	3.3

Atomic structure:
```
data_TeOsCl2
_chemical_formula_sum 'Te4 Os4 Cl8'
_cell_length_a 6.6654
_cell_length_b 6.6654
_cell_length_c 6.6654
_cell_angle_alpha 90.00
_cell_angle_beta 90.00
_cell_angle_gamma 90.00
_space_group_name_H-M_alt 'F -4 3 m'
_space_group_IT_number 216
_space_group_name_Hall 'F -4 2 3'
loop_
_atom_site_label
_atom_site_type_symbol
_atom_site_fract_x
_atom_site_fract_y
_atom_site_fract_z
Te1 Te 0.0000 0.0000 0.0000
Os1 Os 0.2500 0.2500 0.2500
Cl1 Cl 0.0000 0.0000 0.5000
Cl2 Cl 0.2500 0.2500 0.7500
```